Structure and calculated X-ray powder pattern of Ho12Er5Th2 (a crystal structure in Alexandria, relaxed with GGA-PBE; λ = 1.5418 Å (Cu Kα)).
Lines closer than 0.1° are merged.

Most intense lines, 2θ from 10° to 90°, sorted by position:
2θ/deg	I (rel.)
31.0	100
31.1	33
36.0	67
51.8	24
51.9	24
61.6	19
61.7	33
64.8	12
84.7	12
87.4	13

```
19
Lattice="6.125 0.000 0.000 3.061 8.811 0.000 2.047 -0.699 10.938" Properties=species:S:1:pos:R:3 pbc="T T T"
Ho 1.534 0.888 4.312
Ho 3.577 6.520 3.175
Ho 2.546 3.334 2.023
Ho 4.603 1.919 9.513
Ho 6.637 7.584 8.374
Ho 5.613 4.399 7.184
Ho 5.620 3.713 3.754
Ho 4.597 0.528 2.565
Ho 6.631 6.193 1.425
Ho 8.688 4.777 8.916
Ho 7.656 1.591 7.763
Ho 9.700 7.223 6.627
Er 2.554 4.056 5.469
Er 5.614 5.147 10.658
Er 4.597 1.244 6.039
Er 6.636 6.868 4.900
Er 5.620 2.965 0.280
Th 1.531 0.170 0.842
Th 9.703 7.942 10.096
```

---

Structure and calculated X-ray powder pattern of MnV6Re2 (a crystal structure in Alexandria, relaxed with GGA-PBE; λ = 1.5418 Å (Cu Kα)).
Lines closer than 0.1° are merged.

Most intense lines, 2θ from 10° to 90°, sorted by position:
2θ/deg	I (rel.)
26.4	71
27.2	67
43.6	28
44.4	100
45.6	23
52.1	33
53.4	20
64.9	15
80.6	16
83.4	14

```
9
Lattice="-2.076 2.900 5.972 2.076 -2.900 5.972 2.076 2.900 -5.972" Properties=species:S:1:pos:R:3 pbc="T T T"
Mn 0.000 0.000 0.000
V 2.076 -1.486 4.064
V 2.076 1.367 0.000
V 0.000 1.414 1.908
V 2.076 1.486 4.064
V 0.000 1.534 5.972
V 0.000 4.387 1.908
Re 0.000 0.000 3.985
Re 0.000 0.000 7.958
```

---

Structure and calculated X-ray powder pattern of SrSmGa3O7 (a crystal structure in Alexandria, relaxed with GGA-PBE; λ = 1.5418 Å (Cu Kα)).
Lines closer than 0.1° are merged.

Most intense lines, 2θ from 10° to 90°, sorted by position:
2θ/deg	I (rel.)
22.7	23
27.7	32
29.8	86
30.1	100
33.6	25
35.1	24
35.4	30
49.3	24
49.6	39
57.9	16

```
24
Lattice="5.651 -5.743 0.000 5.651 5.743 0.000 0.000 0.000 5.338" Properties=species:S:1:pos:R:3 pbc="T T T"
Sr 5.651 3.880 0.000
Sr 5.651 -3.880 0.000
Sm 3.841 0.000 0.141
Sm 7.461 0.000 0.141
Ga 2.825 2.871 2.693
Ga 1.674 0.000 2.540
Ga 5.651 1.618 2.903
Ga 2.825 -2.871 2.693
Ga 5.651 -1.618 2.903
Ga 9.628 0.000 2.540
O 0.000 0.000 1.765
O 2.501 1.406 1.579
O 1.763 0.000 4.348
O 4.222 2.404 3.805
O 2.501 -1.406 1.579
O 5.651 1.456 1.083
O 7.080 2.404 3.805
O 5.651 0.000 3.862
O 4.222 -2.404 3.805
O 5.651 -1.456 1.083
O 8.801 1.406 1.579
O 7.080 -2.404 3.805
O 9.539 0.000 4.348
O 8.801 -1.406 1.579
```

---

Structure and calculated X-ray powder pattern of NaSr9Ca2 (a crystal structure in Alexandria, relaxed with GGA-PBE; λ = 1.5418 Å (Cu Kα)).
Lines closer than 0.1° are merged.

Most intense lines, 2θ from 10° to 90°, sorted by position:
2θ/deg	I (rel.)
26.2	100
29.9	18
30.5	34
43.3	25
43.7	12
50.9	16
51.7	30
53.9	13
69.3	12
80.0	8

```
12
Lattice="5.853 0.000 0.000 0.000 5.853 0.000 0.000 0.000 17.931" Properties=species:S:1:pos:R:3 pbc="T T T"
Na 0.000 0.000 0.000
Sr 0.000 2.927 3.013
Sr 0.000 2.927 8.966
Sr 0.000 2.927 14.918
Sr 2.927 0.000 3.013
Sr 2.927 0.000 8.966
Sr 2.927 0.000 14.918
Sr 2.927 2.927 0.000
Sr 2.927 2.927 5.974
Sr 2.927 2.927 11.958
Ca 0.000 0.000 5.989
Ca 0.000 0.000 11.943
```

---

Structure and calculated X-ray powder pattern of Tb4Pm5Pr2 (a crystal structure in Alexandria, relaxed with GGA-PBE; λ = 1.5418 Å (Cu Kα)).
Lines closer than 0.1° are merged.

Most intense lines, 2θ from 10° to 90°, sorted by position:
2θ/deg	I (rel.)
29.2	73
29.5	100
29.9	37
31.3	68
31.8	59
32.5	89
38.6	23
45.2	28
57.2	35
58.2	21

```
11
Lattice="5.623 -3.713 0.000 5.623 3.713 0.000 -2.816 0.000 8.967" Properties=species:S:1:pos:R:3 pbc="T T T"
Tb 1.543 0.000 1.059
Tb 0.797 0.000 4.447
Tb 7.633 0.000 4.520
Tb 6.887 0.000 7.907
Pm 4.213 2.099 2.114
Pm 4.217 2.099 6.853
Pm 4.215 0.000 4.483
Pm 4.213 -2.099 2.114
Pm 4.217 -2.099 6.853
Pr 1.534 0.000 7.850
Pr 6.895 0.000 1.117
```

---

Structure and calculated X-ray powder pattern of CsHg3S4 (a crystal structure in Alexandria, relaxed with GGA-PBE; λ = 1.5418 Å (Cu Kα)).
Lines closer than 0.1° are merged.

Most intense lines, 2θ from 10° to 90°, sorted by position:
2θ/deg	I (rel.)
17.5	100
21.0	34
21.3	61
21.7	43
22.2	61
23.0	39
31.0	34
35.2	32
35.5	35
36.5	36

```
8
Lattice="8.039 0.000 0.000 0.000 5.063 0.000 -3.476 0.000 7.728" Properties=species:S:1:pos:R:3 pbc="T T T"
Cs 0.000 0.000 0.000
Hg 0.369 2.532 4.269
Hg 4.020 2.532 0.000
Hg 4.195 2.532 3.460
S -1.169 2.532 6.101
S 1.585 2.532 2.264
S 2.978 2.532 5.464
S 5.733 2.532 1.627
```

---

Structure and calculated X-ray powder pattern of BaIn2Se4 (a crystal structure in Alexandria, relaxed with GGA-PBE; λ = 1.5418 Å (Cu Kα)).
Lines closer than 0.1° are merged.

Most intense lines, 2θ from 10° to 90°, sorted by position:
2θ/deg	I (rel.)
15.0	21
15.2	19
21.4	21
21.7	18
27.5	33
27.7	34
30.6	25
31.0	22
34.1	100
52.0	22

```
14
Lattice="3.433 -5.762 0.000 3.433 5.762 0.000 0.000 0.000 11.669" Properties=species:S:1:pos:R:3 pbc="T T T"
Ba 0.000 0.000 2.917
Ba 0.000 0.000 8.752
In 3.420 2.672 0.000
In 3.447 2.672 5.834
In 3.420 -2.672 5.834
In 3.447 -2.672 0.000
Se 1.717 2.881 2.008
Se 1.717 2.881 9.661
Se 1.535 0.900 5.834
Se 1.535 -0.900 0.000
Se 1.717 -2.881 3.827
Se 1.717 -2.881 7.842
Se 5.331 0.900 0.000
Se 5.331 -0.900 5.834
```

---

Structure and calculated X-ray powder pattern of RbCaAgF6 (a crystal structure in Alexandria, relaxed with GGA-PBE; λ = 1.5418 Å (Cu Kα)).
Lines closer than 0.1° are merged.

Most intense lines, 2θ from 10° to 90°, sorted by position:
2θ/deg	I (rel.)
14.8	33
23.4	24
24.6	15
25.9	100
27.1	34
28.2	33
29.9	22
43.1	20
45.6	18
47.9	54

```
18
Lattice="-3.624 4.200 5.270 3.624 -4.200 5.270 3.624 4.200 -5.270" Properties=species:S:1:pos:R:3 pbc="T T T"
Rb 0.000 2.100 1.481
Rb 3.624 2.100 3.789
Ca 1.812 2.100 -2.635
Ca 1.812 -2.100 2.635
Ag 3.624 0.000 0.000
Ag 0.000 0.000 5.270
F 3.624 -2.100 3.980
F 3.624 2.100 -1.242
F 2.230 0.253 1.392
F 5.018 0.253 1.392
F 2.230 4.453 -1.392
F 1.394 0.253 3.877
F 2.230 3.947 1.392
F 1.394 -0.253 6.662
F -1.394 3.947 3.877
F 1.394 3.947 3.877
F 0.000 2.100 6.511
F 0.000 6.300 1.289
```

---

Structure and calculated X-ray powder pattern of LaSm2Dy2Er (a crystal structure in Alexandria, relaxed with GGA-PBE; λ = 1.5418 Å (Cu Kα)).
Lines closer than 0.1° are merged.

Most intense lines, 2θ from 10° to 90°, sorted by position:
2θ/deg	I (rel.)
27.8	44
30.2	100
32.9	37
33.8	47
36.7	59
45.9	15
53.9	31
61.8	26
62.7	23
63.3	16

```
12
Lattice="6.964 0.000 0.000 0.000 16.355 0.000 0.000 0.000 3.531" Properties=species:S:1:pos:R:3 pbc="T T T"
La 0.000 0.000 0.000
La 3.482 8.178 1.766
Sm 1.720 5.573 0.000
Sm 1.762 13.750 1.766
Sm 5.202 2.605 1.766
Sm 5.244 10.782 0.000
Dy 1.740 2.535 1.766
Dy 1.742 10.713 0.000
Dy 5.222 5.642 0.000
Dy 5.224 13.820 1.766
Er 0.000 8.178 1.766
Er 3.482 0.000 0.000
```

---

Structure and calculated X-ray powder pattern of As3Pt (a crystal structure in Alexandria, relaxed with GGA-PBE; λ = 1.5418 Å (Cu Kα)).
Lines closer than 0.1° are merged.

Most intense lines, 2θ from 10° to 90°, sorted by position:
2θ/deg	I (rel.)
12.1	77
35.6	100
39.7	74
40.6	74
42.5	15
49.7	16
52.8	17
66.1	28
68.0	30
75.9	22

```
4
Lattice="2.890 0.000 0.000 0.000 3.470 0.000 0.000 0.000 7.333" Properties=species:S:1:pos:R:3 pbc="T T T"
As 0.000 0.000 0.000
As 1.445 1.735 2.062
As 1.445 1.735 5.271
Pt 0.000 0.000 3.667
```